Simulated powder diffractogram
Compound: NdSmZn2
Radiation: Cu Ka
Structure: a structure optimized by DFT (PBE)
No peak broadening, texture or thermal motion is included.

Peak list (8 most intense, 15° ≤ 2θ ≤ 90°, sorted by position)
2θ = 24.3°, I 14.7, hkl 2 0 0; 2θ = 34.6°, I 100.0, hkl 2 2 0; 2θ = 42.7°, I 4.5, hkl 2 2 2; 2θ = 49.7°, I 17.7, hkl 4 0 0; 2θ = 56.1°, I 6.3, hkl 4 2 0; 2θ = 62.0°, I 36.0, hkl 4 2 2; 2θ = 73.0°, I 11.0, hkl 4 4 0; 2θ = 83.3°, I 15.4, hkl 6 2 0

```
data_NdSmZn2
_chemical_formula_sum 'Nd4 Sm4 Zn8'
_symmetry_space_group_name_H-M 'F m -3 m'
_symmetry_Int_Tables_number 225
_symmetry_space_group_name_Hall '-F 4 2 3'
_cell_length_a 7.3336
_cell_length_b 7.3336
_cell_length_c 7.3336
_cell_angle_alpha 90.00
_cell_angle_beta 90.00
_cell_angle_gamma 90.00
loop_
_atom_site_label
_atom_site_fract_x
_atom_site_fract_y
_atom_site_fract_z
Nd1 0.0000 0.0000 0.0000
Sm1 0.0000 0.0000 0.5000
Zn1 0.2500 0.2500 0.2500
```

Simulated powder diffractogram
Compound: Ag2Se
Radiation: Cu Ka
Structure: a structure optimized by DFT (PBE)
No peak broadening, texture or thermal motion is included.

Peak list (8 most intense, 15° ≤ 2θ ≤ 90°, sorted by position)
2θ = 22.1°, I 33.4, hkl 1 0 1; 2θ = 26.8°, I 39.2, hkl 0 2 1; 2θ = 32.2°, I 28.2, hkl 1 1 2; 2θ = 33.5°, I 18.2, hkl 0 2 2; 2θ = 38.4°, I 48.6, hkl 2 0 0; 2θ = 38.7°, I 100.0, hkl 1 2 2; 2θ = 39.7°, I 20.0, hkl 1 0 3; 2θ = 43.2°, I 42.6, hkl 1 3 1

```
data_Ag2Se
_chemical_formula_sum 'Ag8 Se4'
_symmetry_space_group_name_H-M 'P 21 21 21'
_symmetry_Int_Tables_number 19
_cell_length_a 4.6926
_cell_length_b 7.3678
_cell_length_c 7.7912
_cell_angle_alpha 90.00
_cell_angle_beta 90.00
_cell_angle_gamma 90.00
loop_
_symmetry_equiv_pos_as_xyz
'x,y,z'
'-x+1/2,-y,z+1/2'
'x+1/2,-y+1/2,-z'
'-x,y+1/2,-z+1/2'
loop_
_atom_site_label
_atom_site_fract_x
_atom_site_fract_y
_atom_site_fract_z
Ag1 0.0006 0.1339 0.4574
Ag2 0.0009 0.3312 0.7875
Se1 0.0006 0.5427 0.5146
```

Simulated powder diffractogram
Compound: LaCePt2
Radiation: Cu Ka
Structure: a structure optimized by DFT (PBE)
No peak broadening, texture or thermal motion is included.

Peak list (8 most intense, 15° ≤ 2θ ≤ 90°, sorted by position)
2θ = 31.4°, I 100.0, hkl 1 1 1; 2θ = 31.9°, I 39.0, hkl 0 0 4; 2θ = 37.8°, I 20.6, hkl 1 0 4; 2θ = 38.9°, I 90.1, hkl 1 1 3; 2θ = 40.1°, I 31.9, hkl 2 0 0; 2θ = 46.6°, I 27.1, hkl 0 2 0; 2θ = 52.1°, I 19.7, hkl 2 0 4; 2θ = 63.2°, I 22.0, hkl 2 2 0

```
data_LaCePt2
_chemical_formula_sum 'La2 Ce2 Pt4'
_symmetry_space_group_name_H-M 'A m m 2'
_symmetry_Int_Tables_number 38
_cell_length_a 4.4949
_cell_length_b 3.8972
_cell_length_c 11.2330
_cell_angle_alpha 90.00
_cell_angle_beta 90.00
_cell_angle_gamma 90.00
loop_
_symmetry_equiv_pos_as_xyz
'x,y,z'
'-x,-y,z'
'-x,y,z'
'x,-y,z'
'x,y+1/2,z+1/2'
'-x,-y+1/2,z+1/2'
'-x,y+1/2,z+1/2'
'x,-y+1/2,z+1/2'
loop_
_atom_site_label
_atom_site_fract_x
_atom_site_fract_y
_atom_site_fract_z
La1 0.0000 0.0000 0.0000
Ce1 0.5000 0.0000 0.7295
Pt1 0.0000 0.0000 0.2672
Pt2 0.5000 0.0000 0.4536
```

Simulated powder diffractogram
Compound: ZrGaAu
Radiation: Cu Ka
Structure: a structure optimized by DFT (PBE)
No peak broadening, texture or thermal motion is included.

Peak list (8 most intense, 15° ≤ 2θ ≤ 90°, sorted by position)
2θ = 23.3°, I 33.0, hkl 1 0 0; 2θ = 35.4°, I 100.0, hkl 1 0 2; 2θ = 41.0°, I 78.9, hkl 1 1 0; 2θ = 46.7°, I 18.3, hkl 1 0 3; 2θ = 49.4°, I 16.7, hkl 1 1 2; 2θ = 55.3°, I 27.8, hkl 2 0 2; 2θ = 70.1°, I 17.0, hkl 1 1 4; 2θ = 71.1°, I 26.2, hkl 2 1 2

```
data_ZrGaAu
_chemical_formula_sum 'Zr2 Ga2 Au2'
_symmetry_space_group_name_H-M 'P -6 m 2'
_symmetry_Int_Tables_number 187
_symmetry_space_group_name_Hall 'P -6 2'
_cell_length_a 4.3992
_cell_length_b 4.3992
_cell_length_c 6.7797
_cell_angle_alpha 90.00
_cell_angle_beta 90.00
_cell_angle_gamma 120.00
loop_
_atom_site_label
_atom_site_fract_x
_atom_site_fract_y
_atom_site_fract_z
Zr1 0.0000 0.0000 0.0000
Zr2 0.0000 0.0000 0.5000
Ga1 0.6667 0.3333 0.2151
Au1 0.3333 0.6667 0.2850
```

Simulated powder diffractogram
Compound: MnBe4Al
Radiation: Cu Ka
Structure: a structure optimized by DFT (PBE)
No peak broadening, texture or thermal motion is included.

Peak list (8 most intense, 15° ≤ 2θ ≤ 90°, sorted by position)
2θ = 25.4°, I 98.9, hkl 1 1 1; 2θ = 29.4°, I 16.4, hkl 2 0 0; 2θ = 42.1°, I 100.0, hkl 2 2 0; 2θ = 49.8°, I 92.2, hkl 3 1 1; 2θ = 61.0°, I 7.8, hkl 4 0 0; 2θ = 67.2°, I 16.3, hkl 3 3 1; 2θ = 76.9°, I 29.9, hkl 4 2 2; 2θ = 82.5°, I 26.1, hkl 3 3 3

```
data_MnBe4Al
_chemical_formula_sum 'Mn4 Be16 Al4'
_symmetry_space_group_name_H-M 'F -4 3 m'
_symmetry_Int_Tables_number 216
_symmetry_space_group_name_Hall 'F -4 2 3'
_cell_length_a 6.0730
_cell_length_b 6.0730
_cell_length_c 6.0730
_cell_angle_alpha 90.00
_cell_angle_beta 90.00
_cell_angle_gamma 90.00
loop_
_atom_site_label
_atom_site_fract_x
_atom_site_fract_y
_atom_site_fract_z
Mn1 0.0000 0.0000 0.0000
Be1 0.1266 0.1266 0.3734
Al1 0.2500 0.2500 0.7500
```